# TbPrZn2Sb4
Computed powder X-ray diffraction pattern, λ = 1.5418 Å (Cu Kα). Input: a GGA-PBE-relaxed structure.

a = 4.488 Å, b = 4.488 Å, c = 10.037 Å
α = 90.00°, β = 90.00°, γ = 90.00°
Space group P4mm (No. 99)
Asymmetric unit:
Tb (0.000, 0.000, 0.000) [1 per cell]
Pr (0.500, 0.500, 0.530) [1 per cell]
Zn (0.000, 0.500, 0.259) [2 per cell]
Sb (0.000, 0.000, 0.428) [1 per cell]
Sb (0.000, 0.500, 0.771) [2 per cell]
Sb (0.500, 0.500, 0.089) [1 per cell]

Top 6 peaks for 10 to 90 degrees two-theta, sorted by position:
d_spacing  Rel. int.
3.345  21
2.682  100
2.244  36
1.673  11
1.587  12
1.366  26

=====

# Ho4CI3Br2
Computed powder X-ray diffraction pattern, λ = 1.5418 Å (Cu Kα). Input: a GGA-PBE-relaxed structure.

a = 18.504 Å, b = 3.894 Å, c = 8.451 Å
α = 90.00°, β = 102.63°, γ = 90.00°
Space group C2/m (No. 12)
Asymmetric unit:
Ho (0.000, 0.000, 0.190) [4 per cell]
Ho (0.132, 0.500, 0.069) [4 per cell]
C (0.000, 0.500, 0.000) [2 per cell]
I (0.000, 0.500, 0.500) [2 per cell]
I (0.170, 0.000, 0.819) [4 per cell]
Br (0.158, 0.000, 0.323) [4 per cell]

Top 6 peaks for 10 to 90 degrees two-theta, sorted by position:
d_spacing  Rel. int.
8.247  54
3.009  43
2.863  100
2.648  46
2.081  25
2.067  24

=====

# LiTa2SnS4
Computed powder X-ray diffraction pattern, λ = 1.5418 Å (Cu Kα). Input: a GGA-PBE-relaxed structure.

a = 3.3364 Å, b = 3.3364 Å, c = 15.0001 Å
α = 90.00°, β = 90.00°, γ = 120.00°
Space group P-3m1 (No. 164)
Asymmetric unit:
Li (0.0000, 0.0000, 0.0000) [1 per cell]
Ta (0.0000, 0.0000, 0.2163) [2 per cell]
Sn (0.0000, 0.0000, 0.5000) [1 per cell]
S (0.3333, 0.6667, 0.1103) [2 per cell]
S (0.3333, 0.6667, 0.3205) [2 per cell]

Top 6 peaks for 10 to 90 degrees two-theta, sorted by position:
d_spacing  Rel. int.
7.500  97
5.000  63
2.889  99
2.502  93
2.289  100
1.721  58

=====

# NdHf4C2Se
Computed powder X-ray diffraction pattern, λ = 1.5418 Å (Cu Kα). Input: a GGA-PBE-relaxed structure.

a = 3.3663 Å, b = 3.3663 Å, c = 14.8758 Å
α = 90.00°, β = 90.00°, γ = 120.00°
Space group P-6m2 (No. 187)
Asymmetric unit:
Nd (0.0000, 0.0000, 0.0000) [1 per cell]
Hf (0.0000, 0.0000, 0.3680) [2 per cell]
Hf (0.6667, 0.3333, 0.2040) [2 per cell]
C (0.3333, 0.6667, 0.2872) [2 per cell]
Se (0.6667, 0.3333, 0.5000) [1 per cell]

Top 6 peaks for 10 to 90 degrees two-theta, sorted by position:
d_spacing  Rel. int.
2.975  20
2.915  33
2.714  23
2.513  100
2.294  23
1.683  30

=====

# NbAg3Te2Se2
Computed powder X-ray diffraction pattern, λ = 1.5418 Å (Cu Kα). Input: a GGA-PBE-relaxed structure.

a = 8.662 Å, b = 9.087 Å, c = 6.265 Å
α = 90.00°, β = 90.00°, γ = 90.00°
Space group Cmm2 (No. 35)
Asymmetric unit:
Nb (0.000, 0.000, 0.000) [2 per cell]
Ag (0.000, 0.000, 0.500) [2 per cell]
Ag (0.250, 0.250, 0.997) [4 per cell]
Te (0.241, 0.500, 0.749) [4 per cell]
Se (0.000, 0.223, 0.230) [4 per cell]

Top 6 peaks for 10 to 90 degrees two-theta, sorted by position:
d_spacing  Rel. int.
6.268  82
3.678  65
3.562  59
2.803  24
2.272  26
2.216  100

=====

# Hf2Te
Computed powder X-ray diffraction pattern, λ = 1.5418 Å (Cu Kα). Input: a GGA-PBE-relaxed structure.

a = 8.330 Å, b = 8.330 Å, c = 8.330 Å
α = 90.00°, β = 90.00°, γ = 90.00°
Space group Fd-3m (No. 227, origin choice 2)
Asymmetric unit:
Hf (0.000, 0.000, 0.000) [16 per cell]
Te (0.125, 0.125, 0.625) [8 per cell]

Top 6 peaks for 10 to 90 degrees two-theta, sorted by position:
d_spacing  Rel. int.
4.810  19
2.512  100
2.405  53
1.603  34
1.473  31
1.256  21